[1]
Starting from DFT lattice parameters and positions (PBE), the XRD peak list of RbPNO2 was simulated for λ = 1.5418 Å (Cu Kα).
Lines closer than 0.1° are merged.

Atomic structure:
```
30
Lattice="6.5173 3.7628 3.8155 -6.5173 3.7628 3.8155 0.0000 -7.5256 3.8155" Properties=species:S:1:pos:R:3 pbc="T T T"
Rb -3.4352 0.5343 4.5862
Rb -2.1804 -2.7078 6.8603
Rb 1.2549 -3.2421 4.5862
Rb -1.2549 3.2421 6.8603
Rb 2.1804 2.7078 4.5862
Rb 3.4352 -0.5343 6.8603
P -1.0310 -1.3655 2.2572
P -0.6670 1.5756 2.2572
P 1.6980 -0.2101 2.2572
P -1.6980 0.2101 9.1893
P 0.6670 -1.5756 9.1893
P 1.0310 1.3655 9.1893
N -1.5858 0.1981 2.0887
N 0.6213 -1.4724 2.0887
N 0.9645 1.2742 2.0887
N -0.9645 -1.2742 9.3578
N -0.6213 1.4724 9.3578
N 1.5858 -0.1981 9.3578
O -4.8116 -1.5213 6.4105
O -1.0883 -4.9276 5.0360
O -1.3441 -1.7257 3.7119
O -3.7233 3.4064 5.0360
O -0.8225 2.0269 3.7119
O 2.1666 -0.3012 3.7119
O -2.1666 0.3012 7.7346
O 0.8225 -2.0269 7.7346
O 3.7233 -3.4063 6.4105
O 1.3441 1.7257 7.7346
O 1.0883 4.9276 6.4105
O 4.8116 1.5213 5.0360
```

Top 10 peaks for 5 to 70 degrees two-theta, sorted by position:
| two_theta | d/Å | I_rel |
| --- | --- | --- |
| 22.12 | 4.019 | 80 |
| 22.24 | 3.998 | 23 |
| 26.05 | 3.421 | 73 |
| 27.08 | 3.293 | 95 |
| 29.58 | 3.020 | 100 |
| 32.64 | 2.743 | 58 |
| 36.48 | 2.463 | 31 |
| 38.14 | 2.359 | 35 |
| 45.39 | 1.998 | 27 |
| 47.34 | 1.920 | 28 |

[2]
Starting from DFT lattice parameters and positions (PBE), the XRD peak list of Sn4P3NO12 was simulated for λ = 1.5418 Å (Cu Kα).
Lines closer than 0.1° are merged.

Atomic structure:
```
40
Lattice="9.9055 0.0000 0.0000 -4.9528 8.5785 0.0000 0.0000 0.0000 8.2265" Properties=species:S:1:pos:R:3 pbc="T T T"
Sn -2.4607 5.9902 0.0000
Sn 0.9954 3.4523 0.0000
Sn 0.0000 5.7190 5.1474
Sn 3.4875 0.8641 4.1133
Sn 1.4653 7.7144 0.0000
Sn 4.9528 2.8595 1.0341
Sn 3.9573 5.1262 4.1133
Sn 7.4135 2.5882 4.1133
P -2.8755 6.3216 3.3812
P 0.9159 2.9274 3.3812
P 2.9931 0.6705 7.4945
P 1.9596 7.9079 3.3812
P 4.0369 5.6511 7.4945
P 7.8283 2.2569 7.4945
N 0.0000 0.0000 1.6506
N 0.0000 0.0000 5.7639
O -3.2267 5.7634 1.9695
O -0.8399 2.4045 0.1696
O -0.5730 2.5830 3.2979
O -1.7241 5.4137 3.9640
O -2.4293 7.7831 3.2979
O -2.4505 8.1036 0.1696
O 1.6624 1.9296 4.2829
O 1.9505 1.7877 7.4111
O 1.5749 2.9024 1.9695
O 3.3009 0.0873 6.0828
O 1.1265 4.3785 3.9640
O 0.5977 7.3647 3.9640
O 4.3551 1.2137 8.0772
O 3.8263 4.2000 8.0772
O 1.6518 8.4911 1.9695
O 3.3779 5.6761 6.0828
O 3.0023 6.7907 3.2979
O 3.2904 6.6488 0.1696
O 7.4033 0.4749 4.2829
O 7.3821 0.7953 7.4111
O 6.6769 3.1648 8.0772
O 5.5257 5.9954 7.4111
O 5.7927 6.1740 4.2829
O 8.1794 2.8150 6.0828
```

Top 10 peaks for 5 to 70 degrees two-theta, sorted by position:
| two_theta | d/Å | I_rel |
| --- | --- | --- |
| 20.94 | 4.243 | 68 |
| 21.60 | 4.113 | 86 |
| 23.39 | 3.803 | 100 |
| 27.51 | 3.242 | 96 |
| 28.20 | 3.164 | 63 |
| 29.61 | 3.017 | 65 |
| 31.28 | 2.859 | 47 |
| 35.25 | 2.546 | 97 |
| 47.50 | 1.914 | 49 |
| 52.71 | 1.737 | 34 |

[3]
Starting from DFT lattice parameters and positions (PBE), the XRD peak list of SrP4N2O12 was simulated for λ = 1.5418 Å (Cu Kα).
Lines closer than 0.1° are merged.

Atomic structure:
```
19
Lattice="-3.8064 3.8064 5.1406 3.8064 -3.8064 5.1406 3.8064 3.8064 -5.1406" Properties=species:S:1:pos:R:3 pbc="T T T"
Sr 0.0000 0.0000 0.0000
P 2.6306 1.6528 -2.2255
P 2.1536 -1.1758 7.3661
P 1.1758 2.1536 2.9150
P 1.6528 4.9822 2.2255
N 3.8064 0.0000 0.8014
N 3.8064 0.0000 4.3392
O 4.2086 1.4900 -1.9188
O 2.4325 2.9069 -3.0263
O 1.9201 1.4509 -0.9198
O 1.3739 0.8996 2.1143
O 2.3555 -1.8863 6.0603
O 4.7060 2.4325 3.0263
O -0.4021 2.3164 3.2217
O 1.4900 3.4043 1.9188
O 1.8863 2.3555 4.2208
O 2.3164 0.4021 7.0594
O 1.4509 5.6928 0.9198
O -0.8996 1.3739 8.1669
```

Top 10 peaks for 5 to 70 degrees two-theta, sorted by position:
| two_theta | d/Å | I_rel |
| --- | --- | --- |
| 14.48 | 6.118 | 100 |
| 17.25 | 5.141 | 11 |
| 23.94 | 3.718 | 22 |
| 27.60 | 3.232 | 46 |
| 28.56 | 3.125 | 16 |
| 29.19 | 3.059 | 38 |
| 33.29 | 2.692 | 11 |
| 36.47 | 2.464 | 14 |
| 37.23 | 2.415 | 13 |
| 51.99 | 1.759 | 16 |